Simulated XRD peak list
Compound: SmRe3Si2
Radiation: Cu Kα (λ = 1.5418 Å)
Structure: DFT lattice parameters and positions (GGA-PBE)
Neutral-atom scattering factors, no anomalous dispersion.

Atomic structure:
Lattice parameters (Å, degrees): 7.7371 7.7371 7.7371 149.45 117.34 71.31
Sites, in units of the cell vectors:
Sm  0.1247  0.1247  0.0000
Sm  0.8753  0.8753  0.0000
Re  0.1044  0.3096  0.7948
Re  0.3522  0.0000  0.3522
Re  0.4852  0.6904  0.7948
Re  0.5148  0.3096  0.2052
Re  0.6478  0.0000  0.6478
Re  0.8956  0.6904  0.2052
Si  0.2001  0.5000  0.7001
Si  0.3148  0.8148  0.5000
Si  0.6852  0.1852  0.5000
Si  0.7999  0.5000  0.2999

Top 6 peaks for 5° ≤ 2θ ≤ 70°, by intensity:
| d [Å] | I/Imax |
| --- | --- |
| 2.364 | 100 |
| 2.111 | 64 |
| 2.922 | 57 |
| 2.038 | 48 |
| 2.623 | 41 |
| 3.148 | 36 |